Entry 1:
# Li2Ce3S2O5
Calculated X-ray powder pattern, a wavelength of 1.5418 Å. Input: a crystal structure in Alexandria, relaxed with GGA-PBE.

Cell and atoms:
```
data_Li2Ce3S2O5
_chemical_formula_sum 'Li4 Ce6 S4 O10'
_symmetry_space_group_name_H-M 'I 4/m m m'
_symmetry_Int_Tables_number 139
_symmetry_space_group_name_Hall '-I 4 2'
_cell_length_a 3.767
_cell_length_b 3.767
_cell_length_c 22.327
_cell_angle_alpha 90.00
_cell_angle_beta 90.00
_cell_angle_gamma 90.00
loop_
_atom_site_label
_atom_site_type_symbol
_atom_site_fract_x
_atom_site_fract_y
_atom_site_fract_z
Li1 Li 0.000 0.000 0.083
Ce1 Ce 0.000 0.000 0.346
Ce2 Ce 0.000 0.000 0.500
S1 S 0.000 0.000 0.209
O1 O 0.000 0.000 0.000
O2 O 0.000 0.500 0.093
```

Largest 8 diffraction maxima, by angle, 10 to 90 degrees two-theta:
3.716 Å, 2θ = 23.9°, rel. 100; 2.664 Å, 2θ = 33.6°, rel. 46; 2.434 Å, 2θ = 36.9°, rel. 71; 2.166 Å, 2θ = 41.7°, rel. 51; 1.884 Å, 2θ = 48.3°, rel. 27; 1.680 Å, 2θ = 54.6°, rel. 29; 1.563 Å, 2θ = 59.1°, rel. 17; 1.490 Å, 2θ = 62.3°, rel. 30

Entry 2:
# Na3FeH7
Calculated X-ray powder pattern, a wavelength of 1.5418 Å. Input: a crystal structure in Alexandria, relaxed with GGA-PBE.

Cell and atoms:
```
data_Na3FeH7
_chemical_formula_sum 'Na12 Fe4 H28'
_symmetry_space_group_name_H-M 'F m m 2'
_symmetry_Int_Tables_number 42
_symmetry_space_group_name_Hall 'F 2 -2'
_cell_length_a 7.366
_cell_length_b 7.677
_cell_length_c 7.183
_cell_angle_alpha 90.00
_cell_angle_beta 90.00
_cell_angle_gamma 90.00
loop_
_atom_site_label
_atom_site_type_symbol
_atom_site_fract_x
_atom_site_fract_y
_atom_site_fract_z
Na1 Na 0.000 0.000 0.000
Na2 Na 0.250 0.250 0.238
Fe1 Fe 0.000 0.000 0.480
H1 H 0.000 0.000 0.696
H2 H 0.000 0.209 0.482
H3 H 0.117 0.000 0.306
H4 H 0.201 0.000 0.538
```

Largest 8 diffraction maxima, by angle, 10 to 90 degrees two-theta:
4.273 Å, 2θ = 20.8°, rel. 64; 2.658 Å, 2θ = 33.7°, rel. 100; 2.623 Å, 2θ = 34.2°, rel. 95; 2.571 Å, 2θ = 34.9°, rel. 94; 1.919 Å, 2θ = 47.4°, rel. 21; 1.538 Å, 2θ = 60.2°, rel. 34; 1.507 Å, 2θ = 61.5°, rel. 31; 1.488 Å, 2θ = 62.4°, rel. 29

Entry 3:
# Er4In
Calculated X-ray powder pattern, a wavelength of 1.5418 Å. Input: a crystal structure in Alexandria, relaxed with GGA-PBE.

Cell and atoms:
```
data_Er4In
_chemical_formula_sum 'Er16 In4'
_symmetry_space_group_name_H-M 'I m m a'
_symmetry_Int_Tables_number 74
_symmetry_space_group_name_Hall '-I 2b 2'
_cell_length_a 5.180
_cell_length_b 6.706
_cell_length_c 16.269
_cell_angle_alpha 90.00
_cell_angle_beta 90.00
_cell_angle_gamma 90.00
loop_
_atom_site_label
_atom_site_type_symbol
_atom_site_fract_x
_atom_site_fract_y
_atom_site_fract_z
Er1 Er 0.000 0.000 0.000
Er2 Er 0.000 0.005 0.197
Er3 Er 0.000 0.250 0.606
In1 In 0.000 0.250 0.389
```

Largest 8 diffraction maxima, by angle, 10 to 90 degrees two-theta:
2.773 Å, 2θ = 32.3°, rel. 84; 2.755 Å, 2θ = 32.5°, rel. 100; 2.589 Å, 2θ = 34.7°, rel. 79; 2.108 Å, 2θ = 42.9°, rel. 18; 1.830 Å, 2θ = 49.8°, rel. 26; 1.635 Å, 2θ = 56.3°, rel. 16; 1.525 Å, 2θ = 60.7°, rel. 17; 1.432 Å, 2θ = 65.1°, rel. 27

Entry 4:
# CdRh
Calculated X-ray powder pattern, a wavelength of 1.5418 Å. Input: a crystal structure in Alexandria, relaxed with GGA-PBE.

Cell and atoms:
```
data_CdRh
_chemical_formula_sum 'Cd4 Rh4'
_symmetry_space_group_name_H-M 'P 21 3'
_symmetry_Int_Tables_number 198
_symmetry_space_group_name_Hall 'P 2ac 2ab 3'
_cell_length_a 5.186
_cell_length_b 5.186
_cell_length_c 5.186
_cell_angle_alpha 90.00
_cell_angle_beta 90.00
_cell_angle_gamma 90.00
loop_
_atom_site_label
_atom_site_type_symbol
_atom_site_fract_x
_atom_site_fract_y
_atom_site_fract_z
Cd1 Cd 0.096 0.404 0.596
Rh1 Rh 0.099 0.901 0.401
```

Largest 8 diffraction maxima, by angle, 10 to 90 degrees two-theta:
2.593 Å, 2θ = 34.6°, rel. 14; 2.319 Å, 2θ = 38.8°, rel. 100; 2.117 Å, 2θ = 42.7°, rel. 50; 1.729 Å, 2θ = 53.0°, rel. 9; 1.564 Å, 2θ = 59.1°, rel. 10; 1.386 Å, 2θ = 67.6°, rel. 36; 1.190 Å, 2θ = 80.8°, rel. 11; 1.132 Å, 2θ = 85.9°, rel. 13

Entry 5:
# Tb4TcPt
Calculated X-ray powder pattern, a wavelength of 1.5418 Å. Input: a crystal structure in Alexandria, relaxed with GGA-PBE.

Cell and atoms:
```
data_Tb4TcPt
_chemical_formula_sum 'Tb16 Tc4 Pt4'
_symmetry_space_group_name_H-M 'C 1 2/c 1'
_symmetry_Int_Tables_number 15
_cell_length_a 9.040
_cell_length_b 12.984
_cell_length_c 6.425
_cell_angle_alpha 90.00
_cell_angle_beta 124.07
_cell_angle_gamma 90.00
loop_
_symmetry_equiv_pos_as_xyz
'x,y,z'
'-x,-y,-z'
'-x,y,-z+1/2'
'x,-y,z+1/2'
'x+1/2,y+1/2,z'
'-x+1/2,-y+1/2,-z'
'-x+1/2,y+1/2,-z+1/2'
'x+1/2,-y+1/2,z+1/2'
loop_
_atom_site_label
_atom_site_type_symbol
_atom_site_fract_x
_atom_site_fract_y
_atom_site_fract_z
Tb1 Tb 0.126 0.175 0.095
Tb2 Tb 0.200 0.436 0.273
Tc1 Tc 0.000 0.001 0.750
Pt1 Pt 0.000 0.365 0.750
```

Largest 8 diffraction maxima, by angle, 10 to 90 degrees two-theta:
3.032 Å, 2θ = 29.5°, rel. 36; 2.919 Å, 2θ = 30.6°, rel. 89; 2.771 Å, 2θ = 32.3°, rel. 79; 2.623 Å, 2θ = 34.2°, rel. 42; 2.530 Å, 2θ = 35.5°, rel. 50; 2.463 Å, 2θ = 36.5°, rel. 46; 2.315 Å, 2θ = 38.9°, rel. 100; 2.162 Å, 2θ = 41.8°, rel. 49

Entry 6:
# CrTcTe
Calculated X-ray powder pattern, a wavelength of 1.5418 Å. Input: a crystal structure in Alexandria, relaxed with GGA-PBE.

Cell and atoms:
```
data_CrTcTe
_chemical_formula_sum 'Cr2 Tc2 Te2'
_symmetry_space_group_name_H-M 'P 1 m 1'
_symmetry_Int_Tables_number 6
_cell_length_a 3.834
_cell_length_b 3.997
_cell_length_c 8.886
_cell_angle_alpha 90.00
_cell_angle_beta 102.60
_cell_angle_gamma 90.00
loop_
_symmetry_equiv_pos_as_xyz
'x,y,z'
'x,-y,z'
loop_
_atom_site_label
_atom_site_type_symbol
_atom_site_fract_x
_atom_site_fract_y
_atom_site_fract_z
Cr1 Cr 0.000 0.000 0.000
Cr2 Cr 0.478 0.500 0.957
Tc1 Tc 0.396 0.000 0.795
Tc2 Tc 0.889 0.500 0.780
Te1 Te 0.100 0.500 0.197
Te2 Te 0.779 0.000 0.564
```

Largest 8 diffraction maxima, by angle, 10 to 90 degrees two-theta:
8.672 Å, 2θ = 10.2°, rel. 100; 3.630 Å, 2θ = 24.5°, rel. 41; 3.195 Å, 2θ = 27.9°, rel. 52; 2.496 Å, 2θ = 36.0°, rel. 31; 2.165 Å, 2θ = 41.7°, rel. 75; 2.161 Å, 2θ = 41.8°, rel. 67; 1.998 Å, 2θ = 45.4°, rel. 28; 1.695 Å, 2θ = 54.1°, rel. 25